Record 1
Starting from a cell relaxed with GGA-PBE, the X-ray powder pattern of Tm12Tl6H was calculated for copper Kα.
Peak positions follow from Bragg's law for the DFT cell and can differ from measured ones.

The 10 most intense peaks (15° ≤ 2θ ≤ 90°), in order of falling intensity:
two_theta	I_rel	index
32.15	100	4 -3 1
36.77	85	4 -2 3
28.95	55	1 0 4
34.38	39	4 -1 2
41.95	30	0 0 6
30.12	24	2 2 0
49.95	22	3 0 6
59.64	16	4 -3 7
70.21	16	6 1 5
65.15	16	5 3 2

Structural model:
```
data_Tm12Tl6H
_chemical_formula_sum 'Tm36 Tl18 H3'
_cell_length_a 11.8686
_cell_length_b 11.8686
_cell_length_c 12.9307
_cell_angle_alpha 90.00
_cell_angle_beta 90.00
_cell_angle_gamma 120.00
_symmetry_space_group_name_H-M 'R -3'
_symmetry_Int_Tables_number 148
_symmetry_space_group_name_Hall '-R 3'
loop_
_atom_site_label
_atom_site_type_symbol
_atom_site_fract_x
_atom_site_fract_y
_atom_site_fract_z
Tm1 Tm 0.0353 0.8517 0.3831
Tm2 Tm 0.0380 0.1844 0.8850
Tl1 Tl 0.0015 0.6077 0.2504
H1 H 0.0000 0.0000 0.5000
```



Record 2
Starting from a cell relaxed with GGA-PBE, the X-ray powder pattern of Y4Tm2Tl3H2 was calculated for copper Kα.
Peak positions follow from Bragg's law for the DFT cell and can differ from measured ones.

The 10 most intense peaks (15° ≤ 2θ ≤ 90°), in order of falling intensity:
two_theta	I_rel	index
34.73	100	1 1 6
38.07	58	2 0 0
27.67	37	1 1 2
66.65	35	3 1 6
31.89	29	1 0 7
26.67	28	1 1 0
19.12	28	1 0 1
54.94	20	2 2 0
30.49	16	1 1 4
50.48	16	2 1 7

Structural model:
```
data_Y4Tm2Tl3H2
_chemical_formula_sum 'Y8 Tm4 Tl6 H4'
_cell_length_a 4.727
_cell_length_b 4.727
_cell_length_c 24.415
_cell_angle_alpha 90.00
_cell_angle_beta 90.00
_cell_angle_gamma 90.00
_symmetry_space_group_name_H-M 'I 4/m m m'
_symmetry_Int_Tables_number 139
_symmetry_space_group_name_Hall '-I 4 2'
loop_
_atom_site_label
_atom_site_type_symbol
_atom_site_fract_x
_atom_site_fract_y
_atom_site_fract_z
Y1 Y 0.000 0.500 0.085
Tm1 Tm 0.000 0.000 0.198
Tl1 Tl 0.000 0.000 0.325
Tl2 Tl 0.000 0.000 0.500
H1 H 0.000 0.000 0.104
```



Record 3
Starting from a cell relaxed with GGA-PBE, the X-ray powder pattern of Y3TlH3 was calculated for copper Kα.
Peak positions follow from Bragg's law for the DFT cell and can differ from measured ones.

The 10 most intense peaks (15° ≤ 2θ ≤ 90°), in order of falling intensity:
two_theta	I_rel	index
30.10	100	1 1 3
36.65	60	2 -1 6
48.84	26	3 0 0
61.98	24	3 0 9
35.75	23	0 0 9
16.32	20	1 0 1
17.69	17	0 1 2
58.45	15	4 -2 3
56.55	15	1 1 12
62.58	13	2 2 6

Structural model:
```
data_Y3TlH3
_chemical_formula_sum 'Y18 Tl6 H18'
_cell_length_a 6.4591
_cell_length_b 6.4591
_cell_length_c 22.6100
_cell_angle_alpha 90.00
_cell_angle_beta 90.00
_cell_angle_gamma 120.00
_symmetry_space_group_name_H-M 'R -3'
_symmetry_Int_Tables_number 148
_symmetry_space_group_name_Hall '-R 3'
loop_
_atom_site_label
_atom_site_type_symbol
_atom_site_fract_x
_atom_site_fract_y
_atom_site_fract_z
Y1 Y 0.0009 0.3380 0.3953
Tl1 Tl 0.0000 0.0000 0.1667
H1 H 0.9997 0.3314 0.9644
```



Record 4
Starting from a cell relaxed with GGA-PBE, the X-ray powder pattern of Y2TlH2 was calculated for copper Kα.
Peak positions follow from Bragg's law for the DFT cell and can differ from measured ones.

The 10 most intense peaks (15° ≤ 2θ ≤ 90°), in order of falling intensity:
two_theta	I_rel	index
31.52	100	1 3 0
32.88	93	2 0 0
38.93	58	1 3 -2
31.68	51	0 0 2
18.56	35	1 1 0
57.84	34	0 6 1
51.03	28	1 3 2
52.66	24	3 3 -2
57.19	19	2 0 2
72.67	16	2 6 1

Structural model:
```
data_Y2TlH2
_chemical_formula_sum 'Y8 Tl4 H8'
_cell_length_a 6.219
_cell_length_b 9.974
_cell_length_c 6.443
_cell_angle_alpha 90.00
_cell_angle_beta 118.76
_cell_angle_gamma 90.00
_symmetry_space_group_name_H-M 'C 1 2/c 1'
_symmetry_Int_Tables_number 15
_symmetry_space_group_name_Hall '-C 2yc'
loop_
_atom_site_label
_atom_site_type_symbol
_atom_site_fract_x
_atom_site_fract_y
_atom_site_fract_z
Y1 Y 0.000 0.055 0.250
Y2 Y 0.000 0.305 0.750
Tl1 Tl 0.000 0.375 0.250
H1 H 0.120 0.125 0.990
```